No. 1
Starting from the PBE geometry in Alexandria, the X-ray diffraction stick pattern of K2US4 was computed for a wavelength of 1.5418 Å.
Peak positions follow from Bragg's law for the DFT cell and can differ from measured ones.

Most intense lines, 5 to 70 degrees two-theta, by intensity:
| 2θ/deg | I (rel.) |
| --- | --- |
| 11.07 | 100 |
| 17.99 | 97 |
| 23.95 | 60 |
| 24.28 | 51 |
| 34.61 | 42 |
| 32.92 | 31 |
| 39.27 | 28 |
| 42.52 | 28 |
| 49.03 | 25 |
| 36.44 | 24 |

Atomic structure:
a = 16.8043 Å, b = 16.8043 Å, c = 16.8043 Å
α = 154.80°, β = 154.80°, γ = 35.94°
Positions (direct):
K 0.0532 0.3032 0.7500
K 0.1968 0.4468 0.7500
K 0.3032 0.0532 0.2500
K 0.4468 0.1968 0.2500
K 0.5532 0.8032 0.7500
K 0.6968 0.9468 0.7500
K 0.8032 0.5532 0.2500
K 0.9468 0.6968 0.2500
U 0.1250 0.8750 0.2500
U 0.3750 0.6250 0.7500
U 0.6250 0.3750 0.2500
U 0.8750 0.1250 0.7500
S 0.0483 0.7983 0.2500
S 0.1238 0.8738 0.7476
S 0.1262 0.3738 0.2500
S 0.2017 0.9517 0.2500
S 0.2983 0.5483 0.7500
S 0.3738 0.6238 0.2476
S 0.3762 0.1238 0.7500
S 0.4517 0.7017 0.7500
S 0.5483 0.2983 0.2500
S 0.6238 0.8762 0.2500
S 0.6262 0.3762 0.7524
S 0.7017 0.4517 0.2500
S 0.7983 0.0483 0.7500
S 0.8738 0.6262 0.7500
S 0.8762 0.1262 0.2524
S 0.9517 0.2017 0.7500

No. 2
Starting from the PBE geometry in Alexandria, the X-ray diffraction stick pattern of K2U2VS6 was computed for a wavelength of 1.5418 Å.
Peak positions follow from Bragg's law for the DFT cell and can differ from measured ones.

Most intense lines, 5 to 70 degrees two-theta, by intensity:
| 2θ/deg | I (rel.) |
| --- | --- |
| 11.67 | 100 |
| 31.20 | 53 |
| 30.98 | 24 |
| 27.16 | 19 |
| 41.83 | 19 |
| 28.01 | 17 |
| 23.46 | 16 |
| 47.14 | 15 |
| 38.78 | 15 |
| 17.20 | 15 |

Atomic structure:
a = 6.6374 Å, b = 6.6374 Å, c = 7.9055 Å
α = 98.19°, β = 98.19°, γ = 119.38°
Positions (direct):
K 0.1691 0.8309 0.0000
K 0.8309 0.1691 0.0000
U 0.3344 0.6656 0.5000
U 0.6656 0.3344 0.5000
V 0.0000 0.0000 0.5000
S 0.0647 0.3804 0.6918
S 0.2458 0.2458 0.3083
S 0.3804 0.0647 0.6918
S 0.6196 0.9353 0.3082
S 0.7542 0.7542 0.6917
S 0.9353 0.6196 0.3082

No. 3
Starting from the PBE geometry in Alexandria, the X-ray diffraction stick pattern of K4YU3S8 was computed for a wavelength of 1.5418 Å.
Peak positions follow from Bragg's law for the DFT cell and can differ from measured ones.

Most intense lines, 5 to 70 degrees two-theta, by intensity:
| 2θ/deg | I (rel.) |
| --- | --- |
| 30.14 | 100 |
| 11.92 | 92 |
| 26.68 | 43 |
| 41.42 | 37 |
| 25.74 | 34 |
| 44.81 | 34 |
| 38.21 | 23 |
| 46.54 | 21 |
| 23.97 | 21 |
| 54.95 | 18 |

Atomic structure:
a = 8.7722 Å, b = 8.7722 Å, c = 8.7722 Å
α = 54.92°, β = 54.92°, γ = 54.92°
Positions (direct):
K 0.0000 0.0000 0.0000
K 0.0000 0.5000 0.5000
K 0.5000 0.0000 0.5000
K 0.5000 0.5000 0.0000
Y 0.5000 0.5000 0.5000
U 0.0000 0.0000 0.5000
U 0.0000 0.5000 0.0000
U 0.5000 0.0000 0.0000
S 0.2346 0.2346 0.2346
S 0.2350 0.7346 0.7346
S 0.2654 0.2654 0.7650
S 0.2654 0.7650 0.2654
S 0.7346 0.2350 0.7346
S 0.7346 0.7346 0.2350
S 0.7650 0.2654 0.2654
S 0.7654 0.7654 0.7654

No. 4
Starting from the PBE geometry in Alexandria, the X-ray diffraction stick pattern of K3Y3US8 was computed for a wavelength of 1.5418 Å.
Peak positions follow from Bragg's law for the DFT cell and can differ from measured ones.

Most intense lines, 5 to 70 degrees two-theta, by intensity:
| 2θ/deg | I (rel.) |
| --- | --- |
| 30.15 | 100 |
| 11.83 | 87 |
| 41.28 | 34 |
| 44.98 | 33 |
| 13.28 | 29 |
| 25.83 | 23 |
| 26.74 | 23 |
| 38.10 | 22 |
| 46.67 | 17 |
| 55.10 | 17 |

Atomic structure:
a = 8.8125 Å, b = 8.8125 Å, c = 8.8125 Å
α = 54.44°, β = 54.44°, γ = 54.44°
Positions (direct):
K 0.0000 0.5000 0.5000
K 0.5000 0.0000 0.5000
K 0.5000 0.5000 0.0000
Y 0.0000 0.0000 0.5000
Y 0.0000 0.5000 0.0000
Y 0.5000 0.0000 0.0000
U 0.5000 0.5000 0.5000
S 0.2336 0.2336 0.2336
S 0.2377 0.7289 0.7289
S 0.2711 0.2711 0.7623
S 0.2711 0.7623 0.2711
S 0.7289 0.2377 0.7289
S 0.7289 0.7289 0.2377
S 0.7623 0.2711 0.2711
S 0.7664 0.7664 0.7664

No. 5
Starting from the PBE geometry in Alexandria, the X-ray diffraction stick pattern of KV6S8 was computed for a wavelength of 1.5418 Å.
Peak positions follow from Bragg's law for the DFT cell and can differ from measured ones.

Most intense lines, 5 to 70 degrees two-theta, by intensity:
| 2θ/deg | I (rel.) |
| --- | --- |
| 40.82 | 100 |
| 11.11 | 55 |
| 48.45 | 31 |
| 29.63 | 27 |
| 33.75 | 18 |
| 35.59 | 17 |
| 52.66 | 15 |
| 57.86 | 14 |
| 22.32 | 13 |
| 56.45 | 9 |

Atomic structure:
a = 9.1971 Å, b = 9.1971 Å, c = 3.2601 Å
α = 90.00°, β = 90.00°, γ = 120.00°
Positions (direct):
K 0.0000 0.0000 0.0000
V 0.1151 0.4897 0.2484
V 0.3746 0.8849 0.2484
V 0.4897 0.3746 0.7516
V 0.5103 0.6254 0.2484
V 0.6254 0.1151 0.7516
V 0.8849 0.5103 0.7516
S 0.0531 0.7048 0.2534
S 0.2952 0.3483 0.2534
S 0.3333 0.6667 0.7490
S 0.3483 0.0531 0.7466
S 0.6517 0.9469 0.2534
S 0.6667 0.3333 0.2510
S 0.7048 0.6517 0.7466
S 0.9469 0.2952 0.7466

No. 6
Starting from the PBE geometry in Alexandria, the X-ray diffraction stick pattern of K3VS3 was computed for a wavelength of 1.5418 Å.
Peak positions follow from Bragg's law for the DFT cell and can differ from measured ones.

Most intense lines, 5 to 70 degrees two-theta, by intensity:
| 2θ/deg | I (rel.) |
| --- | --- |
| 13.45 | 100 |
| 31.08 | 78 |
| 39.78 | 75 |
| 31.35 | 74 |
| 25.22 | 67 |
| 33.80 | 60 |
| 16.36 | 52 |
| 32.82 | 51 |
| 33.06 | 47 |
| 14.30 | 46 |

Atomic structure:
a = 8.5677 Å, b = 7.7726 Å, c = 12.5435 Å
α = 90.00°, β = 98.97°, γ = 90.00°
Positions (direct):
K 0.0865 0.1409 0.1342
K 0.0865 0.3591 0.6342
K 0.3131 0.7330 0.7911
K 0.3131 0.7670 0.2911
K 0.3966 0.2373 0.9213
K 0.3966 0.2627 0.4213
K 0.6034 0.7373 0.5787
K 0.6034 0.7627 0.0787
K 0.6869 0.2330 0.7089
K 0.6869 0.2670 0.2089
K 0.9135 0.6409 0.3658
K 0.9135 0.8591 0.8658
V 0.1515 0.5703 0.0434
V 0.1515 0.9297 0.5434
V 0.8485 0.0703 0.4566
V 0.8485 0.4297 0.9566
S 0.0726 0.0531 0.3774
S 0.0726 0.4469 0.8774
S 0.2403 0.6575 0.5226
S 0.2403 0.8425 0.0226
S 0.3509 0.0701 0.6482
S 0.3509 0.4299 0.1482
S 0.6491 0.5701 0.8518
S 0.6491 0.9299 0.3518
S 0.7597 0.1575 0.9774
S 0.7597 0.3425 0.4774
S 0.9274 0.5531 0.1226
S 0.9274 0.9469 0.6226

No. 7
Starting from the PBE geometry in Alexandria, the X-ray diffraction stick pattern of K2WS5 was computed for a wavelength of 1.5418 Å.
Peak positions follow from Bragg's law for the DFT cell and can differ from measured ones.

Most intense lines, 5 to 70 degrees two-theta, by intensity:
| 2θ/deg | I (rel.) |
| --- | --- |
| 18.93 | 100 |
| 12.53 | 93 |
| 14.86 | 89 |
| 15.48 | 74 |
| 28.68 | 68 |
| 24.66 | 65 |
| 27.83 | 46 |
| 20.71 | 27 |
| 22.82 | 23 |
| 42.84 | 19 |

Atomic structure:
a = 5.1382 Å, b = 6.9072 Å, c = 7.9254 Å
α = 114.80°, β = 90.22°, γ = 111.63°
Positions (direct):
K 0.0000 0.0000 0.0000
K 0.3664 0.7256 0.3253
W 0.1320 0.2582 0.6332
S 0.4233 0.2855 0.4096
S 0.5154 0.4698 0.8923
S 0.8653 0.2852 0.4095
S 0.9504 0.8918 0.5815
S 0.9609 0.4694 0.8923

No. 8
Starting from the PBE geometry in Alexandria, the X-ray diffraction stick pattern of KY3S4 was computed for a wavelength of 1.5418 Å.
Peak positions follow from Bragg's law for the DFT cell and can differ from measured ones.

Most intense lines, 5 to 70 degrees two-theta, by intensity:
| 2θ/deg | I (rel.) |
| --- | --- |
| 32.49 | 100 |
| 6.42 | 94 |
| 45.58 | 68 |
| 30.60 | 60 |
| 44.75 | 40 |
| 28.97 | 40 |
| 27.64 | 37 |
| 34.60 | 33 |
| 47.61 | 31 |
| 53.18 | 21 |

Atomic structure:
a = 3.9804 Å, b = 3.9804 Å, c = 27.5301 Å
α = 90.00°, β = 90.00°, γ = 120.00°
Positions (direct):
K 0.3333 0.6667 0.2500
K 0.6667 0.3333 0.7500
Y 0.0000 0.0000 0.0000
Y 0.0000 0.0000 0.5000
Y 0.3333 0.6667 0.6152
Y 0.3333 0.6667 0.8848
Y 0.6667 0.3333 0.1152
Y 0.6667 0.3333 0.3848
S 0.0000 0.0000 0.1697
S 0.0000 0.0000 0.3303
S 0.0000 0.0000 0.6697
S 0.0000 0.0000 0.8303
S 0.3333 0.6667 0.0576
S 0.3333 0.6667 0.4424
S 0.6667 0.3333 0.5576
S 0.6667 0.3333 0.9424

No. 9
Starting from the PBE geometry in Alexandria, the X-ray diffraction stick pattern of K3Y2ZrS6 was computed for a wavelength of 1.5418 Å.
Peak positions follow from Bragg's law for the DFT cell and can differ from measured ones.

Most intense lines, 5 to 70 degrees two-theta, by intensity:
| 2θ/deg | I (rel.) |
| --- | --- |
| 30.68 | 100 |
| 11.97 | 42 |
| 41.92 | 34 |
| 45.89 | 31 |
| 27.25 | 16 |
| 56.22 | 16 |
| 38.71 | 12 |
| 69.62 | 11 |
| 24.07 | 10 |
| 63.89 | 9 |

Atomic structure:
a = 6.8503 Å, b = 6.8503 Å, c = 7.7398 Å
α = 98.50°, β = 98.50°, γ = 120.00°
Positions (direct):
K 0.0000 0.0000 0.0000
K 0.3309 0.6691 0.0000
K 0.6691 0.3309 0.0000
Y 0.1665 0.8335 0.5000
Y 0.8335 0.1665 0.5000
Zr 0.5000 0.5000 0.5000
S 0.1122 0.4326 0.2980
S 0.2474 0.2474 0.7025
S 0.4326 0.1122 0.2980
S 0.5674 0.8878 0.7020
S 0.7526 0.7526 0.2975
S 0.8878 0.5674 0.7020

No. 10
Starting from the PBE geometry in Alexandria, the X-ray diffraction stick pattern of K2Zn3S4 was computed for a wavelength of 1.5418 Å.
Peak positions follow from Bragg's law for the DFT cell and can differ from measured ones.

Most intense lines, 5 to 70 degrees two-theta, by intensity:
| 2θ/deg | I (rel.) |
| --- | --- |
| 13.03 | 100 |
| 30.18 | 77 |
| 33.01 | 54 |
| 31.82 | 41 |
| 40.42 | 34 |
| 50.77 | 15 |
| 30.92 | 15 |
| 26.24 | 15 |
| 54.39 | 15 |
| 46.90 | 14 |

Atomic structure:
a = 13.5872 Å, b = 10.1177 Å, c = 6.1785 Å
α = 90.00°, β = 90.00°, γ = 90.00°
Positions (direct):
K 0.0000 0.0000 0.0000
K 0.0000 0.5000 0.0000
K 0.0359 0.2500 0.4789
K 0.4641 0.7500 0.9789
K 0.5000 0.0000 0.5000
K 0.5000 0.5000 0.5000
K 0.5359 0.2500 0.0211
K 0.9641 0.7500 0.5211
Zn 0.2095 0.7500 0.2545
Zn 0.2440 0.0979 0.1822
Zn 0.2440 0.4021 0.1822
Zn 0.2560 0.5979 0.6822
Zn 0.2560 0.9021 0.6822
Zn 0.2905 0.2500 0.7545
Zn 0.7095 0.7500 0.2455
Zn 0.7440 0.0979 0.3178
Zn 0.7440 0.4021 0.3178
Zn 0.7560 0.5979 0.8178
Zn 0.7560 0.9021 0.8178
Zn 0.7905 0.2500 0.7455
S 0.1417 0.2500 0.9634
S 0.1473 0.5407 0.3974
S 0.1473 0.9593 0.3974
S 0.1636 0.7500 0.8932
S 0.3364 0.2500 0.3932
S 0.3527 0.0407 0.8974
S 0.3527 0.4593 0.8974
S 0.3583 0.7500 0.4634
S 0.6417 0.2500 0.5366
S 0.6473 0.5407 0.1026
S 0.6473 0.9593 0.1026
S 0.6636 0.7500 0.6068
S 0.8364 0.2500 0.1068
S 0.8527 0.0407 0.6026
S 0.8527 0.4593 0.6026
S 0.8583 0.7500 0.0366

No. 11
Starting from the PBE geometry in Alexandria, the X-ray diffraction stick pattern of KZr4S8 was computed for a wavelength of 1.5418 Å.
Peak positions follow from Bragg's law for the DFT cell and can differ from measured ones.

Most intense lines, 5 to 70 degrees two-theta, by intensity:
| 2θ/deg | I (rel.) |
| --- | --- |
| 13.91 | 100 |
| 32.48 | 81 |
| 46.59 | 68 |
| 26.82 | 67 |
| 42.60 | 41 |
| 48.86 | 21 |
| 57.94 | 17 |
| 64.96 | 13 |
| 59.91 | 13 |
| 54.57 | 10 |

Atomic structure:
a = 7.7971 Å, b = 7.7971 Å, c = 7.7971 Å
α = 60.00°, β = 60.00°, γ = 60.00°
Positions (direct):
K 0.0000 0.0000 0.0000
Zr 0.3783 0.3783 0.3783
Zr 0.3783 0.3783 0.8650
Zr 0.3783 0.8650 0.3783
Zr 0.8650 0.3783 0.3783
S 0.1439 0.1439 0.1439
S 0.1439 0.1439 0.5683
S 0.1439 0.5683 0.1439
S 0.1558 0.6147 0.6147
S 0.5683 0.1439 0.1439
S 0.6147 0.1558 0.6147
S 0.6147 0.6147 0.1558
S 0.6147 0.6147 0.6147